The following is a computed PXRD pattern of YBeGaB2. It was derived from a crystal structure in Alexandria, relaxed with GGA-PBE, using copper Kα.
Intensities are scaled so that the largest is 100.

Cell and atoms:
Lattice parameters (Å, degrees): 4.693 4.693 5.279 90.00 90.00 90.00
Sites, in units of the cell vectors:
Y 0.000 0.000 0.000
Be 0.000 0.000 0.500
Ga 0.500 0.500 0.500
B 0.000 0.500 0.000
B 0.500 0.000 0.000

Principal peaks in the range 2θ = 5–70°, low angle first:
Position (°2θ)  intensity
25.40  100
26.87  41
33.96  16
38.36  23
43.83  22
46.57  38
52.16  18
55.80  11
66.58  8
69.74  11

***

The following is a computed PXRD pattern of BeGeB. It was derived from a crystal structure in Alexandria, relaxed with GGA-PBE, using copper Kα.
Intensities are scaled so that the largest is 100.

Cell and atoms:
Lattice parameters (Å, degrees): 2.918 2.918 9.630 90.00 90.00 120.00
Sites, in units of the cell vectors:
Be 0.000 0.000 0.125
Be 0.000 0.000 0.875
Ge 0.000 0.000 0.364
Ge 0.000 0.000 0.636
B 0.333 0.667 0.000
B 0.667 0.333 0.000

Principal peaks in the range 2θ = 5–70°, low angle first:
Position (°2θ)  intensity
9.18  100
27.79  35
35.53  72
36.77  53
37.35  18
40.31  3
45.69  36
52.50  52
63.80  16
64.62  6

***

The following is a computed PXRD pattern of BeGe2B2Ir5. It was derived from a crystal structure in Alexandria, relaxed with GGA-PBE, using copper Kα.
Intensities are scaled so that the largest is 100.

Cell and atoms:
Lattice parameters (Å, degrees): 9.316 9.316 2.920 90.00 90.00 90.00
Sites, in units of the cell vectors:
Be 0.000 0.000 0.000
Be 0.500 0.500 0.000
Ge 0.178 0.322 0.000
Ge 0.322 0.822 0.000
Ge 0.678 0.178 0.000
Ge 0.822 0.678 0.000
B 0.130 0.630 0.000
B 0.370 0.130 0.000
B 0.630 0.870 0.000
B 0.870 0.370 0.000
Ir 0.000 0.500 0.500
Ir 0.079 0.798 0.500
Ir 0.202 0.079 0.500
Ir 0.298 0.579 0.500
Ir 0.421 0.298 0.500
Ir 0.500 0.000 0.500
Ir 0.579 0.702 0.500
Ir 0.702 0.421 0.500
Ir 0.798 0.921 0.500
Ir 0.921 0.202 0.500

Principal peaks in the range 2θ = 5–70°, low angle first:
Position (°2θ)  intensity
30.34  64
30.61  72
34.72  49
37.61  50
39.90  94
43.44  33
43.64  100
46.96  59
51.11  32
54.08  26

***

The following is a computed PXRD pattern of BeGe2BO6. It was derived from a crystal structure in Alexandria, relaxed with GGA-PBE, using copper Kα.
Intensities are scaled so that the largest is 100.

Cell and atoms:
Lattice parameters (Å, degrees): 7.800 7.800 7.800 147.20 81.86 107.52
Sites, in units of the cell vectors:
Be 0.250 0.250 0.000
Be 0.750 0.750 0.000
Ge 0.159 0.669 0.828
Ge 0.341 0.169 0.510
Ge 0.659 0.831 0.490
Ge 0.841 0.331 0.172
B 0.250 0.750 0.500
B 0.750 0.250 0.500
O 0.098 0.439 0.208
O 0.187 0.256 0.443
O 0.231 0.891 0.792
O 0.269 0.061 0.659
O 0.313 0.756 0.069
O 0.402 0.609 0.341
O 0.598 0.391 0.659
O 0.687 0.244 0.931
O 0.731 0.939 0.341
O 0.769 0.109 0.208
O 0.813 0.744 0.557
O 0.902 0.561 0.792

Principal peaks in the range 2θ = 5–70°, low angle first:
Position (°2θ)  intensity
19.25  71
21.54  17
24.51  71
27.06  100
36.18  19
36.31  19
39.07  17
42.92  24
47.47  24
50.50  18

***

The following is a computed PXRD pattern of BeB2H. It was derived from a crystal structure in Alexandria, relaxed with GGA-PBE, using copper Kα.
Intensities are scaled so that the largest is 100.

Cell and atoms:
Lattice parameters (Å, degrees): 5.948 5.948 5.948 149.03 149.03 44.36
Sites, in units of the cell vectors:
Be 0.375 0.625 0.750
Be 0.625 0.375 0.250
B 0.000 0.000 0.000
B 0.000 0.000 0.500
B 0.000 0.500 0.000
B 0.500 0.000 0.500
H 0.125 0.875 0.250
H 0.875 0.125 0.750

Principal peaks in the range 2θ = 5–70°, low angle first:
Position (°2θ)  intensity
29.27  45
32.51  24
37.44  100
43.52  26
50.41  36
58.09  5
60.70  34
65.69  6
66.36  32
68.12  19